This entry pairs a crystal structure of CaPrP2Pd4 with its calculated XRD peak list. Radiation: Cu Kα X-rays. Structure: a cell relaxed with PBE.
Lines closer than 0.1° are merged.

Principal peaks in the range 10 to 90 degrees two-theta, by intensity:
36.48°, I = 100, hkl 1 1 2
44.07°, I = 35, hkl 2 0 0
76.06°, I = 23, hkl 3 1 2
19.12°, I = 20, hkl 0 0 2
60.14°, I = 18, hkl 2 0 4
23.68°, I = 17, hkl 1 0 1
38.79°, I = 17, hkl 0 0 4
29.02°, I = 16, hkl 1 0 2

```
data_CaPrP2Pd4
_chemical_formula_sum 'Ca1 Pr1 P2 Pd4'
_space_group_name_H-M_alt 'P 4/m m m'
_space_group_IT_number 123
_space_group_name_Hall '-P 4 2'
_cell_length_a 4.109
_cell_length_b 4.109
_cell_length_c 9.286
_cell_angle_alpha 90.00
_cell_angle_beta 90.00
_cell_angle_gamma 90.00
loop_
_atom_site_label
_atom_site_type_symbol
_atom_site_fract_x
_atom_site_fract_y
_atom_site_fract_z
_atom_site_occupancy
Ca1 Ca 0.000 0.000 0.000 1
Pr1 Pr 0.000 0.000 0.500 1
P1 P 0.500 0.500 0.121 1
Pd1 Pd 0.000 0.500 0.258 1
```

---

This entry pairs a crystal structure of Ti2Co8Ge with its calculated XRD peak list. Radiation: Cu Kα X-rays. Structure: a cell relaxed with PBE.
Lines closer than 0.1° are merged.

Principal peaks in the range 10 to 90 degrees two-theta, by intensity:
43.36°, I = 100, hkl 1 1 2
43.50°, I = 99, hkl 5 1 -1
50.11°, I = 33, hkl 0 2 0
89.50°, I = 32, hkl 1 3 2
50.20°, I = 31, hkl 4 0 -3
51.44°, I = 29, hkl 6 0 1
73.66°, I = 18, hkl 4 2 -3
74.65°, I = 17, hkl 6 2 1

```
data_Ti2Co8Ge
_chemical_formula_sum 'Ti4 Co16 Ge2'
_space_group_name_H-M_alt 'C 1 2/m 1'
_space_group_IT_number 12
_cell_length_a 12.875
_cell_length_b 3.641
_cell_length_c 5.742
_cell_angle_alpha 90.00
_cell_angle_beta 106.09
_cell_angle_gamma 90.00
loop_
_space_group_symop_operation_xyz
'x,y,z'
'-x,-y,-z'
'-x,y,-z'
'x,-y,z'
'x+1/2,y+1/2,z'
'-x+1/2,-y+1/2,-z'
'-x+1/2,y+1/2,-z'
'x+1/2,-y+1/2,z'
loop_
_atom_site_label
_atom_site_type_symbol
_atom_site_fract_x
_atom_site_fract_y
_atom_site_fract_z
_atom_site_occupancy
Ti1 Ti 0.224 0.000 0.162 1
Co1 Co 0.039 0.000 0.218 1
Co2 Co 0.087 0.500 0.954 1
Co3 Co 0.139 0.000 0.675 1
Co4 Co 0.177 0.500 0.400 1
Ge1 Ge 0.000 0.500 0.500 1
```

---

This entry pairs a crystal structure of Dy4AlIr with its calculated XRD peak list. Radiation: Cu Kα X-rays. Structure: a cell relaxed with PBE.
Lines closer than 0.1° are merged.

Principal peaks in the range 10 to 90 degrees two-theta, by intensity:
12.82°, I = 100, hkl 1 1 0
35.52°, I = 69, hkl 1 5 0
35.25°, I = 56, hkl 2 2 1
31.29°, I = 53, hkl 3 1 -1
31.47°, I = 45, hkl 0 4 1
13.29°, I = 44, hkl 0 2 0
36.83°, I = 44, hkl 3 1 -2
34.56°, I = 39, hkl 2 4 -1

```
data_Dy4AlIr
_chemical_formula_sum 'Dy16 Al4 Ir4'
_space_group_name_H-M_alt 'C 1 2/c 1'
_space_group_IT_number 15
_cell_length_a 8.823
_cell_length_b 13.321
_cell_length_c 5.963
_cell_angle_alpha 90.00
_cell_angle_beta 113.81
_cell_angle_gamma 90.00
loop_
_space_group_symop_operation_xyz
'x,y,z'
'-x,-y,-z'
'-x,y,-z+1/2'
'x,-y,z+1/2'
'x+1/2,y+1/2,z'
'-x+1/2,-y+1/2,-z'
'-x+1/2,y+1/2,-z+1/2'
'x+1/2,-y+1/2,z+1/2'
loop_
_atom_site_label
_atom_site_type_symbol
_atom_site_fract_x
_atom_site_fract_y
_atom_site_fract_z
_atom_site_occupancy
Dy1 Dy 0.115 0.175 0.071 1
Dy2 Dy 0.212 0.430 0.334 1
Al1 Al 0.000 0.373 0.750 1
Ir1 Ir 0.000 0.000 0.250 1
```

---

This entry pairs a crystal structure of Li3PrSn with its calculated XRD peak list. Radiation: Cu Kα X-rays. Structure: a cell relaxed with PBE.
Lines closer than 0.1° are merged.

Principal peaks in the range 10 to 90 degrees two-theta, by intensity:
33.21°, I = 100, hkl 2 0 0
16.43°, I = 49, hkl 1 1 -1
20.16°, I = 44, hkl 1 1 -2
28.66°, I = 30, hkl 1 1 -3
39.16°, I = 28, hkl 1 1 2
59.30°, I = 24, hkl 2 2 2
37.26°, I = 18, hkl 3 1 -3
47.67°, I = 16, hkl 0 0 4

```
data_Li3PrSn
_chemical_formula_sum 'Li12 Pr4 Sn4'
_space_group_name_H-M_alt 'P 1 21/c 1'
_space_group_IT_number 14
_cell_length_a 7.629
_cell_length_b 7.632
_cell_length_c 10.775
_cell_angle_alpha 90.00
_cell_angle_beta 134.92
_cell_angle_gamma 90.00
loop_
_space_group_symop_operation_xyz
'x,y,z'
'-x,-y,-z'
'-x,y+1/2,-z+1/2'
'x,-y+1/2,z+1/2'
loop_
_atom_site_label
_atom_site_type_symbol
_atom_site_fract_x
_atom_site_fract_y
_atom_site_fract_z
_atom_site_occupancy
Li1 Li 0.052 0.118 0.168 1
Li2 Li 0.285 0.619 0.665 1
Li3 Li 0.372 0.628 0.999 1
Pr1 Pr 0.250 0.501 0.250 1
Sn1 Sn 0.233 0.233 0.000 1
```

---

This entry pairs a crystal structure of Pr2SnBi4 with its calculated XRD peak list. Radiation: Cu Kα X-rays. Structure: a cell relaxed with PBE.
Lines closer than 0.1° are merged.

Principal peaks in the range 10 to 90 degrees two-theta, by intensity:
31.81°, I = 100, hkl 1 1 2
39.29°, I = 34, hkl 2 0 0
66.54°, I = 32, hkl 3 1 2
25.00°, I = 20, hkl 1 0 2
37.38°, I = 17, hkl 1 0 4
28.63°, I = 16, hkl 1 1 1
51.31°, I = 15, hkl 2 0 4
31.66°, I = 14, hkl 0 0 4

```
data_Pr2SnBi4
_chemical_formula_sum 'Pr2 Sn1 Bi4'
_space_group_name_H-M_alt 'P -4 m 2'
_space_group_IT_number 115
_cell_length_a 4.587
_cell_length_b 4.587
_cell_length_c 11.304
_cell_angle_alpha 90.00
_cell_angle_beta 90.00
_cell_angle_gamma 90.00
loop_
_space_group_symop_operation_xyz
'x,y,z'
'y,-x,-z'
'-x,-y,z'
'-y,x,-z'
'-x,y,z'
'-y,-x,-z'
'x,-y,z'
'y,x,-z'
loop_
_atom_site_label
_atom_site_type_symbol
_atom_site_fract_x
_atom_site_fract_y
_atom_site_fract_z
_atom_site_occupancy
Pr1 Pr 0.000 0.500 0.227 1
Sn1 Sn 0.000 0.000 0.500 1
Bi1 Bi 0.000 0.000 0.000 1
Bi2 Bi 0.000 0.500 0.694 1
Bi3 Bi 0.500 0.500 0.000 1
```

---

This entry pairs a crystal structure of MgRh2Br with its calculated XRD peak list. Radiation: Cu Kα X-rays. Structure: a cell relaxed with PBE.
Lines closer than 0.1° are merged.

Principal peaks in the range 10 to 90 degrees two-theta, by intensity:
37.10°, I = 100, hkl 1 1 1
44.64°, I = 60, hkl 3 1 -1
41.32°, I = 40, hkl 2 0 -2
38.15°, I = 38, hkl 4 0 0
18.81°, I = 26, hkl 2 0 0
44.79°, I = 25, hkl 2 0 2
28.09°, I = 23, hkl 2 0 1
67.31°, I = 17, hkl 1 1 -3

```
data_MgRh2Br
_chemical_formula_sum 'Mg2 Rh4 Br2'
_space_group_name_H-M_alt 'C 1 2/m 1'
_space_group_IT_number 12
_cell_length_a 9.481
_cell_length_b 3.025
_cell_length_c 4.711
_cell_angle_alpha 90.00
_cell_angle_beta 95.53
_cell_angle_gamma 90.00
loop_
_space_group_symop_operation_xyz
'x,y,z'
'-x,-y,-z'
'-x,y,-z'
'x,-y,z'
'x+1/2,y+1/2,z'
'-x+1/2,-y+1/2,-z'
'-x+1/2,y+1/2,-z'
'x+1/2,-y+1/2,z'
loop_
_atom_site_label
_atom_site_type_symbol
_atom_site_fract_x
_atom_site_fract_y
_atom_site_fract_z
_atom_site_occupancy
Mg1 Mg 0.000 0.000 0.000 1
Rh1 Rh 0.226 0.500 0.228 1
Br1 Br 0.000 0.500 0.500 1
```

---

This entry pairs a crystal structure of La5PmHo2Er with its calculated XRD peak list. Radiation: Cu Kα X-rays. Structure: a cell relaxed with PBE.
Lines closer than 0.1° are merged.

Principal peaks in the range 10 to 90 degrees two-theta, by intensity:
31.12°, I = 100, hkl 1 5 2
32.51°, I = 30, hkl 2 0 0
57.14°, I = 19, hkl 3 5 2
26.31°, I = 18, hkl 1 3 2
33.59°, I = 18, hkl 0 0 4
47.45°, I = 14, hkl 2 0 4
30.19°, I = 12, hkl 1 1 3
32.41°, I = 10, hkl 1 3 3

```
data_La5PmHo2Er
_chemical_formula_sum 'La20 Pm4 Ho8 Er4'
_space_group_name_H-M_alt 'C m c m'
_space_group_IT_number 63
_space_group_name_Hall '-C 2c 2'
_cell_length_a 5.508
_cell_length_b 21.725
_cell_length_c 10.672
_cell_angle_alpha 90.00
_cell_angle_beta 90.00
_cell_angle_gamma 90.00
loop_
_atom_site_label
_atom_site_type_symbol
_atom_site_fract_x
_atom_site_fract_y
_atom_site_fract_z
_atom_site_occupancy
La1 La 0.000 0.000 0.000 1
La2 La 0.000 0.123 0.250 1
La3 La 0.000 0.221 0.560 1
La4 La 0.000 0.499 0.250 1
Pm1 Pm 0.000 0.288 0.250 1
Ho1 Ho 0.000 0.388 0.001 1
Er1 Er 0.000 0.100 0.750 1
```

---

This entry pairs a crystal structure of NaSbAu3 with its calculated XRD peak list. Radiation: Cu Kα X-rays. Structure: a cell relaxed with PBE.
Lines closer than 0.1° are merged.

Principal peaks in the range 10 to 90 degrees two-theta, by intensity:
37.21°, I = 100, hkl 2 1 1
41.38°, I = 55, hkl 0 3 1
20.49°, I = 48, hkl 0 1 1
39.96°, I = 46, hkl 2 2 0
32.83°, I = 36, hkl 0 0 2
22.33°, I = 34, hkl 1 0 1
52.65°, I = 28, hkl 2 2 2
25.62°, I = 25, hkl 1 1 1

```
data_NaSbAu3
_chemical_formula_sum 'Na2 Sb2 Au6'
_space_group_name_H-M_alt 'P m n 21'
_space_group_IT_number 31
_cell_length_a 5.821
_cell_length_b 7.142
_cell_length_c 5.455
_cell_angle_alpha 90.00
_cell_angle_beta 90.00
_cell_angle_gamma 90.00
loop_
_space_group_symop_operation_xyz
'x,y,z'
'-x+1/2,-y,z+1/2'
'-x,y,z'
'x+1/2,-y,z+1/2'
loop_
_atom_site_label
_atom_site_type_symbol
_atom_site_fract_x
_atom_site_fract_y
_atom_site_fract_z
_atom_site_occupancy
Na1 Na 0.000 0.167 0.000 1
Sb1 Sb 0.000 0.585 0.368 1
Au1 Au 0.000 0.930 0.561 1
Au2 Au 0.247 0.742 0.982 1
```